Simulated powder XRD pattern of Pm4AsPtSe2 for Cu Ka, from DFT lattice parameters and positions (GGA-PBE).

Atomic structure:
```
Pm4AsPtSe2
1.0
7.3375 0.0000 0.0000
0.0000 4.1698 0.0000
-2.4139 0.0000 6.9696
Pm As Pt Se
4 1 1 2
Direct
0.2411 0.0000 0.2361 Pm
0.2534 0.5000 0.7576 Pm
0.7466 0.5000 0.2424 Pm
0.7589 0.0000 0.7639 Pm
0.5000 0.0000 0.0000 As
0.0000 0.5000 0.0000 Pt
0.0000 0.0000 0.5000 Se
0.5000 0.5000 0.5000 Se
```

Main lines, in order of falling intensity (10° ≤ 2θ ≤ 90°):
| two_theta | d (Å) | intensity | hkl |
| --- | --- | --- | --- |
| 29.96 | 2.982 | 1000 | 1 1 1 |
| 29.82 | 2.996 | 509 | 2 0 -2 |
| 42.87 | 2.110 | 378 | 3 1 -1 |
| 42.69 | 2.118 | 377 | 1 1 -3 |
| 53.55 | 1.711 | 197 | 2 2 -2 |
| 42.37 | 2.133 | 190 | 2 0 2 |
| 43.40 | 2.085 | 183 | 0 2 0 |
| 70.43 | 1.337 | 170 | 5 1 -3 |